Record 1
The following is a computed powder diffraction line list of InSn3Rh4. It was derived from a structure optimized by DFT (GGA-PBE), using copper Kα.
No peak broadening, texture or thermal motion is included.

Peak list (10 most intense, 10° ≤ 2θ ≤ 80°, low angle first)
| 2θ/deg | I_rel |
| --- | --- |
| 38.11 | 100 |
| 39.57 | 90 |
| 39.69 | 89 |
| 48.43 | 1 |
| 54.82 | 17 |
| 55.18 | 17 |
| 59.52 | 14 |
| 69.77 | 34 |
| 70.01 | 33 |
| 72.90 | 30 |

Structural model:
```
InSn3Rh4
1.0
0.000 3.349 6.212
3.329 0.000 6.212
3.329 3.349 0.000
In Sn Rh
1 3 4
Direct
0.000 0.000 0.000 In
0.248 0.248 0.752 Sn
0.500 0.500 0.500 Sn
0.752 0.752 0.248 Sn
0.126 0.126 0.374 Rh
0.374 0.374 0.126 Rh
0.626 0.626 0.874 Rh
0.874 0.874 0.626 Rh
```

=====

Record 2
The following is a computed powder diffraction line list of Sr2In2SnRh5. It was derived from a structure optimized by DFT (GGA-PBE), using copper Kα.
No peak broadening, texture or thermal motion is included.

Peak list (12 most intense, 10° ≤ 2θ ≤ 80°, low angle first)
| 2θ/deg | I_rel |
| --- | --- |
| 16.24 | 7 |
| 18.18 | 13 |
| 33.86 | 28 |
| 34.88 | 19 |
| 35.14 | 14 |
| 36.83 | 12 |
| 37.08 | 100 |
| 39.84 | 28 |
| 42.45 | 10 |
| 47.10 | 9 |
| 53.82 | 14 |
| 65.11 | 12 |

Structural model:
```
Sr2In2SnRh5
1.0
10.914 0.000 0.000
0.000 10.914 0.000
0.000 0.000 3.407
Sr In Sn Rh
4 4 2 10
Direct
0.169 0.331 0.000 Sr
0.331 0.831 0.000 Sr
0.669 0.169 0.000 Sr
0.831 0.669 0.000 Sr
0.132 0.632 0.000 In
0.368 0.132 0.000 In
0.632 0.868 0.000 In
0.868 0.368 0.000 In
0.000 0.000 0.000 Sn
0.500 0.500 0.000 Sn
0.000 0.500 0.500 Rh
0.060 0.811 0.500 Rh
0.189 0.060 0.500 Rh
0.311 0.560 0.500 Rh
0.440 0.311 0.500 Rh
0.500 0.000 0.500 Rh
0.560 0.689 0.500 Rh
0.689 0.440 0.500 Rh
0.811 0.940 0.500 Rh
0.940 0.189 0.500 Rh
```

=====

Record 3
The following is a computed powder diffraction line list of Sr3In2Rh2. It was derived from a structure optimized by DFT (GGA-PBE), using copper Kα.
No peak broadening, texture or thermal motion is included.

Peak list (12 most intense, 10° ≤ 2θ ≤ 80°, low angle first)
| 2θ/deg | I_rel |
| --- | --- |
| 18.64 | 45 |
| 27.75 | 20 |
| 30.00 | 24 |
| 30.56 | 44 |
| 31.30 | 36 |
| 32.11 | 41 |
| 34.85 | 61 |
| 35.26 | 36 |
| 35.69 | 100 |
| 36.43 | 26 |
| 39.27 | 23 |
| 45.17 | 20 |

Structural model:
```
Sr3In2Rh2
1.0
6.232 0.000 0.000
0.000 8.481 0.000
0.000 0.000 14.796
Sr In Rh
12 8 8
Direct
0.125 0.250 0.250 Sr
0.125 0.250 0.750 Sr
0.349 0.600 0.093 Sr
0.349 0.600 0.407 Sr
0.349 0.900 0.593 Sr
0.349 0.900 0.907 Sr
0.651 0.100 0.093 Sr
0.651 0.100 0.407 Sr
0.651 0.400 0.593 Sr
0.651 0.400 0.907 Sr
0.875 0.750 0.250 Sr
0.875 0.750 0.750 Sr
0.115 0.250 0.000 In
0.115 0.250 0.500 In
0.352 0.598 0.750 In
0.352 0.902 0.250 In
0.648 0.098 0.750 In
0.648 0.402 0.250 In
0.885 0.750 0.000 In
0.885 0.750 0.500 In
0.140 0.532 0.592 Rh
0.140 0.532 0.908 Rh
0.140 0.968 0.092 Rh
0.140 0.968 0.408 Rh
0.860 0.032 0.592 Rh
0.860 0.032 0.908 Rh
0.860 0.468 0.092 Rh
0.860 0.468 0.408 Rh
```

=====

Record 4
The following is a computed powder diffraction line list of Sr6In2Rh. It was derived from a structure optimized by DFT (GGA-PBE), using copper Kα.
No peak broadening, texture or thermal motion is included.

Peak list (12 most intense, 10° ≤ 2θ ≤ 80°, low angle first)
| 2θ/deg | I_rel |
| --- | --- |
| 12.50 | 38 |
| 14.77 | 37 |
| 25.15 | 26 |
| 27.55 | 26 |
| 27.78 | 85 |
| 28.09 | 60 |
| 29.17 | 68 |
| 31.23 | 62 |
| 31.35 | 100 |
| 32.43 | 54 |
| 32.91 | 33 |
| 46.04 | 37 |

Structural model:
```
Sr6In2Rh
1.0
7.204 0.000 0.000
0.000 9.323 0.000
-7.156 0.000 10.886
Sr In Rh
12 4 2
Direct
0.102 0.156 0.445 Sr
0.102 0.344 0.945 Sr
0.307 0.701 0.441 Sr
0.307 0.799 0.941 Sr
0.354 0.033 0.245 Sr
0.354 0.467 0.745 Sr
0.646 0.533 0.255 Sr
0.646 0.967 0.755 Sr
0.693 0.201 0.059 Sr
0.693 0.299 0.559 Sr
0.898 0.656 0.055 Sr
0.898 0.844 0.555 Sr
0.195 0.115 0.761 In
0.195 0.385 0.261 In
0.805 0.615 0.739 In
0.805 0.885 0.239 In
0.500 0.000 0.500 Rh
0.500 0.500 0.000 Rh
```

=====

> What is the formula in the third record?

Sr3In2Rh2

=====

Please write out number 2 again, unchanged.
The following is a computed powder diffraction line list of Sr2In2SnRh5. It was derived from a structure optimized by DFT (GGA-PBE), using copper Kα.
No peak broadening, texture or thermal motion is included.

Peak list (12 most intense, 10° ≤ 2θ ≤ 80°, low angle first)
| 2θ/deg | I_rel |
| --- | --- |
| 16.24 | 7 |
| 18.18 | 13 |
| 33.86 | 28 |
| 34.88 | 19 |
| 35.14 | 14 |
| 36.83 | 12 |
| 37.08 | 100 |
| 39.84 | 28 |
| 42.45 | 10 |
| 47.10 | 9 |
| 53.82 | 14 |
| 65.11 | 12 |

Structural model:
```
Sr2In2SnRh5
1.0
10.914 0.000 0.000
0.000 10.914 0.000
0.000 0.000 3.407
Sr In Sn Rh
4 4 2 10
Direct
0.169 0.331 0.000 Sr
0.331 0.831 0.000 Sr
0.669 0.169 0.000 Sr
0.831 0.669 0.000 Sr
0.132 0.632 0.000 In
0.368 0.132 0.000 In
0.632 0.868 0.000 In
0.868 0.368 0.000 In
0.000 0.000 0.000 Sn
0.500 0.500 0.000 Sn
0.000 0.500 0.500 Rh
0.060 0.811 0.500 Rh
0.189 0.060 0.500 Rh
0.311 0.560 0.500 Rh
0.440 0.311 0.500 Rh
0.500 0.000 0.500 Rh
0.560 0.689 0.500 Rh
0.689 0.440 0.500 Rh
0.811 0.940 0.500 Rh
0.940 0.189 0.500 Rh
```